# Sc6Zn5Cu
Theoretical XRD peak list, Cu Kα (λ = 1.5418 Å). Input: DFT lattice parameters and positions (PBE).

Main lines, by angle (2θ = 15–90°):
2θ = 26.70°, rel. 6
2θ = 38.12°, rel. 100
2θ = 47.14°, rel. 2
2θ = 55.00°, rel. 16
2θ = 62.14°, rel. 2
2θ = 62.21°, rel. 1
2θ = 68.87°, rel. 26
2θ = 68.94°, rel. 5
2θ = 81.42°, rel. 2
2θ = 81.57°, rel. 8

Structure:
```
Sc6Zn5Cu
1.0
2.3605 -7.0916 0.0000
2.3605 7.0916 0.0000
0.0000 0.0000 6.6714
Sc Zn Cu
6 5 1
Direct
0.0000 0.0000 0.2456
0.0000 0.0000 0.7544
0.3354 0.6646 0.2481
0.3354 0.6646 0.7519
0.6646 0.3354 0.2481
0.6646 0.3354 0.7519
0.1679 0.8321 0.5000
0.1689 0.8311 0.0000
0.5000 0.5000 0.5000
0.8311 0.1689 0.0000
0.8321 0.1679 0.5000
0.5000 0.5000 0.0000
```